For CaDy8Tm4, a GGA-PBE-relaxed structure gives the calculated X-ray diffraction stick pattern in this record (Cu Kα, 1.54184 Å).
Neutral-atom scattering factors, no anomalous dispersion.

Main lines, sorted by position (2θ = 10–90°):
2θ (°), Rel. int.
30.90, 100.0
35.83, 50.5
51.57, 35.6
61.32, 27.9
61.37, 14.1
84.20, 14.4

Structural model:
```
data_CaDy8Tm4
_chemical_formula_sum 'Ca1 Dy8 Tm4'
_cell_length_a 6.140
_cell_length_b 6.140
_cell_length_c 14.619
_cell_angle_alpha 93.93
_cell_angle_beta 93.93
_cell_angle_gamma 48.15
_space_group_name_H-M_alt 'P 1'
_space_group_IT_number 1
_space_group_name_Hall 'P 1'
loop_
_atom_site_label
_atom_site_type_symbol
_atom_site_fract_x
_atom_site_fract_y
_atom_site_fract_z
_atom_site_occupancy
Ca1 Ca 0.000 0.000 0.000 1
Dy1 Dy 0.076 0.076 0.764 1
Dy2 Dy 0.233 0.233 0.309 1
Dy3 Dy 0.307 0.307 0.081 1
Dy4 Dy 0.461 0.461 0.614 1
Dy5 Dy 0.539 0.539 0.386 1
Dy6 Dy 0.693 0.693 0.919 1
Dy7 Dy 0.767 0.767 0.691 1
Dy8 Dy 0.924 0.924 0.236 1
Tm1 Tm 0.153 0.153 0.538 1
Tm2 Tm 0.378 0.378 0.840 1
Tm3 Tm 0.622 0.622 0.160 1
Tm4 Tm 0.847 0.847 0.462 1
```